Computed powder X-ray diffraction pattern
Compound: VB2F8
Radiation: Cu Kα (weighted mean of Kα1 and Kα2)
Structure: a structure optimized by DFT (PBE+U)
Lines closer than 0.1° are merged.

Crystal structure
Unit cell a=5.722 b=5.722 c=4.940 alpha=100.51 beta=100.51 gamma=62.78
Element x y z (fractional)
V 0.000 0.000 0.000
B 0.195 0.195 0.669
B 0.805 0.805 0.331
F 0.061 0.683 0.228
F 0.157 0.157 0.372
F 0.317 0.939 0.772
F 0.337 0.337 0.756
F 0.663 0.663 0.244
F 0.683 0.061 0.228
F 0.843 0.843 0.628
F 0.939 0.317 0.772

Main lines, sorted by position (2θ from 10° to 80°):
Position (°2θ), intensity
17.54, 100.0
26.95, 34.6
28.99, 19.1
29.98, 16.2
33.78, 15.4
38.28, 60.6
40.10, 14.3
45.61, 8.6
47.53, 12.4
55.74, 19.5
56.89, 8.8
58.18, 9.1